No. 1
# AlAu7
Simulated XRD peak list, Cu Kα, 1.54184 Å. Input: a structure optimized by DFT (GGA-PBE).
Kinematic intensities with the Lorentz-polarization factor, no thermal factor.

Structural model:
```
AlAu7
1.0
0.0000 4.1418 4.1418
4.1418 0.0000 4.1418
4.1418 4.1418 0.0000
Al Au
1 7
direct
0.0000 0.0000 0.0000
0.0000 0.0000 0.5000
0.0000 0.5000 0.0000
0.0000 0.5000 0.5000
0.5000 0.0000 0.0000
0.5000 0.0000 0.5000
0.5000 0.5000 0.0000
0.5000 0.5000 0.5000
```

Peak list (8 most intense, 10° ≤ 2θ ≤ 90°, most intense first)
d = 2.391 Å, I = 100; d = 2.071 Å, I = 49; d = 1.249 Å, I = 40; d = 1.464 Å, I = 33; d = 1.196 Å, I = 12; d = 4.783 Å, I = 8; d = 2.498 Å, I = 5; d = 4.142 Å, I = 4


No. 2
# Tl4Hg2ClO
Simulated XRD peak list, Cu Kα, 1.54184 Å. Input: a structure optimized by DFT (GGA-PBE).
Kinematic intensities with the Lorentz-polarization factor, no thermal factor.

Structural model:
```
Tl4Hg2ClO
1.0
-3.6043 5.5924 6.2906
3.6043 -5.5924 6.2906
3.6043 5.5924 -6.2906
Tl Hg Cl O
8 4 2 2
direct
0.2896 0.3015 0.5120
0.2896 0.7776 0.9880
0.3356 0.2494 0.0863
0.3369 0.7506 0.5863
0.6631 0.2494 0.4137
0.6644 0.7506 0.9137
0.7104 0.2224 0.0120
0.7104 0.6985 0.4880
0.0000 0.0000 0.0000
0.0000 0.0000 0.5000
0.0000 0.5000 0.0000
0.5000 0.0000 0.5000
0.0000 0.5000 0.5000
0.5000 0.5000 0.0000
0.5000 0.0000 0.0000
0.5000 0.5000 0.5000
```

Peak list (8 most intense, 10° ≤ 2θ ≤ 90°, most intense first)
d = 3.030 Å, I = 100; d = 3.145 Å, I = 59; d = 2.182 Å, I = 58; d = 2.655 Å, I = 57; d = 2.786 Å, I = 54; d = 3.575 Å, I = 33; d = 2.555 Å, I = 23; d = 1.806 Å, I = 22


No. 3
# TbPrBr6
Simulated XRD peak list, Cu Kα, 1.54184 Å. Input: a structure optimized by DFT (GGA-PBE).
Kinematic intensities with the Lorentz-polarization factor, no thermal factor.

Structural model:
```
TbPrBr6
1.0
3.5912 2.0734 6.5732
-3.5912 2.0734 6.5732
0.0000 -4.1468 6.5732
Tb Pr Br
1 1 6
direct
0.0000 0.0000 0.0000
0.5000 0.5000 0.5000
0.0848 0.4039 0.7567
0.2433 0.9152 0.5961
0.4039 0.7567 0.0848
0.5961 0.2433 0.9152
0.7567 0.0848 0.4039
0.9152 0.5961 0.2433
```

Peak list (8 most intense, 10° ≤ 2θ ≤ 90°, most intense first)
d = 3.152 Å, I = 100; d = 5.261 Å, I = 93; d = 2.425 Å, I = 79; d = 2.073 Å, I = 51; d = 3.864 Å, I = 38; d = 2.288 Å, I = 29; d = 1.870 Å, I = 22; d = 1.288 Å, I = 22


No. 4
# SmIn9Pd2
Simulated XRD peak list, Cu Kα, 1.54184 Å. Input: a structure optimized by DFT (GGA-PBE).
Kinematic intensities with the Lorentz-polarization factor, no thermal factor.

Structural model:
```
SmIn9Pd2
1.0
-6.3768 6.3768 3.5643
6.3768 -6.3768 3.5643
6.3768 6.3768 -3.5643
Sm In Pd
2 18 4
direct
0.3750 0.6250 0.7500
0.6250 0.3750 0.2500
0.0952 0.5453 0.3085
0.0952 0.7867 0.5499
0.1250 0.8750 0.2500
0.2133 0.2633 0.3085
0.2133 0.9048 0.9501
0.2633 0.2133 0.8085
0.2633 0.4547 0.0499
0.4547 0.2633 0.5499
0.4547 0.9048 0.1915
0.5453 0.0952 0.8085
0.5453 0.7367 0.4501
0.7367 0.5453 0.9501
0.7367 0.7867 0.1915
0.7867 0.0952 0.0499
0.7867 0.7367 0.6915
0.8750 0.1250 0.7500
0.9048 0.2133 0.4501
0.9048 0.4547 0.6915
0.0000 0.0000 0.0000
0.0000 0.0000 0.5000
0.0000 0.5000 0.0000
0.5000 0.0000 0.5000
```

Peak list (8 most intense, 10° ≤ 2θ ≤ 90°, most intense first)
d = 2.671 Å, I = 100; d = 2.402 Å, I = 62; d = 2.852 Å, I = 41; d = 3.169 Å, I = 22; d = 2.227 Å, I = 18; d = 2.336 Å, I = 17; d = 1.609 Å, I = 16; d = 2.255 Å, I = 16


No. 5
# K4Gd2C3O9F4
Simulated XRD peak list, Cu Kα, 1.54184 Å. Input: a structure optimized by DFT (GGA-PBE).
Kinematic intensities with the Lorentz-polarization factor, no thermal factor.

Structural model:
```
K4Gd2C3O9F4
1.0
7.0063 0.0000 0.0000
0.0000 9.1452 0.0000
-1.9886 0.0000 10.4703
K Gd C O F
8 4 6 18 8
direct
0.0013 0.0000 0.2497
0.1100 0.3118 0.0589
0.1323 0.8194 0.5605
0.4943 0.3729 0.7469
0.5057 0.8729 0.2531
0.8677 0.3194 0.4395
0.8900 0.8118 0.9411
0.9987 0.5000 0.7503
0.3555 0.4907 0.3945
0.3566 0.0037 0.8913
0.6434 0.5037 0.1087
0.6445 0.9907 0.6055
0.0127 0.6401 0.2417
0.3538 0.6737 0.9378
0.3558 0.1741 0.4264
0.6442 0.6741 0.5736
0.6462 0.1737 0.0622
0.9873 0.1401 0.7583
0.0025 0.9980 0.7506
0.1255 0.2128 0.8277
0.1681 0.7033 0.3045
0.2027 0.2428 0.3697
0.2336 0.7514 0.8572
0.3486 0.5318 0.9377
0.3633 0.0325 0.4334
0.4852 0.7384 0.0224
0.4923 0.7508 0.5219
0.5077 0.2508 0.4781
0.5148 0.2384 0.9776
0.6367 0.5325 0.5666
0.6514 0.0318 0.0623
0.7664 0.2514 0.1428
0.7973 0.7428 0.6303
0.8319 0.2033 0.6955
0.8745 0.7128 0.1723
0.9975 0.4980 0.2494
0.1872 0.4973 0.5541
0.1973 0.0047 0.0556
0.3973 0.0991 0.6952
0.4132 0.3892 0.2048
0.5868 0.8892 0.7952
0.6027 0.5991 0.3048
0.8027 0.5047 0.9444
0.8128 0.9973 0.4459
```

Peak list (8 most intense, 10° ≤ 2θ ≤ 90°, most intense first)
d = 4.597 Å, I = 100; d = 6.886 Å, I = 79; d = 3.243 Å, I = 62; d = 2.299 Å, I = 53; d = 2.644 Å, I = 42; d = 3.261 Å, I = 31; d = 4.573 Å, I = 30; d = 3.165 Å, I = 25


No. 6
# SmGa6Co2
Simulated XRD peak list, Cu Kα, 1.54184 Å. Input: a structure optimized by DFT (GGA-PBE).
Kinematic intensities with the Lorentz-polarization factor, no thermal factor.

Structural model:
```
SmGa6Co2
1.0
0.0000 5.7261 5.7261
5.7261 0.0000 5.7261
5.7261 5.7261 0.0000
Sm Ga Co
2 12 4
direct
0.1250 0.1250 0.1250
0.8750 0.8750 0.8750
0.1499 0.1499 0.6001
0.1499 0.6001 0.1499
0.1499 0.6001 0.6001
0.3999 0.3999 0.8501
0.3999 0.8501 0.3999
0.3999 0.8501 0.8501
0.6001 0.1499 0.1499
0.6001 0.1499 0.6001
0.6001 0.6001 0.1499
0.8501 0.3999 0.3999
0.8501 0.3999 0.8501
0.8501 0.8501 0.3999
0.0000 0.5000 0.5000
0.5000 0.0000 0.5000
0.5000 0.5000 0.0000
0.5000 0.5000 0.5000
```

Peak list (8 most intense, 10° ≤ 2θ ≤ 90°, most intense first)
d = 2.024 Å, I = 100; d = 3.453 Å, I = 69; d = 2.863 Å, I = 60; d = 1.491 Å, I = 29; d = 1.169 Å, I = 23; d = 2.204 Å, I = 21; d = 2.627 Å, I = 15; d = 1.432 Å, I = 14


Repeat the second record exactly.
# Tl4Hg2ClO
Simulated XRD peak list, Cu Kα, 1.54184 Å. Input: a structure optimized by DFT (GGA-PBE).
Kinematic intensities with the Lorentz-polarization factor, no thermal factor.

Structural model:
```
Tl4Hg2ClO
1.0
-3.6043 5.5924 6.2906
3.6043 -5.5924 6.2906
3.6043 5.5924 -6.2906
Tl Hg Cl O
8 4 2 2
direct
0.2896 0.3015 0.5120
0.2896 0.7776 0.9880
0.3356 0.2494 0.0863
0.3369 0.7506 0.5863
0.6631 0.2494 0.4137
0.6644 0.7506 0.9137
0.7104 0.2224 0.0120
0.7104 0.6985 0.4880
0.0000 0.0000 0.0000
0.0000 0.0000 0.5000
0.0000 0.5000 0.0000
0.5000 0.0000 0.5000
0.0000 0.5000 0.5000
0.5000 0.5000 0.0000
0.5000 0.0000 0.0000
0.5000 0.5000 0.5000
```

Peak list (8 most intense, 10° ≤ 2θ ≤ 90°, most intense first)
d = 3.030 Å, I = 100; d = 3.145 Å, I = 59; d = 2.182 Å, I = 58; d = 2.655 Å, I = 57; d = 2.786 Å, I = 54; d = 3.575 Å, I = 33; d = 2.555 Å, I = 23; d = 1.806 Å, I = 22


- What is the formula in the fourth record?
  SmIn9Pd2